Starting from a structure optimized by DFT (GGA-PBE), the X-ray powder pattern of PaPdRu2 was computed for copper Kα.
No peak broadening, texture or thermal motion is included.

Principal peaks in the range 2θ from 10° to 90°, low angle first:
d_spacing, 2θ/deg, I (rel.)
4.023, 22.09, 10
2.894, 30.90, 9
2.349, 38.31, 100
2.083, 43.45, 18
2.012, 45.07, 32
1.447, 64.39, 22
1.422, 65.64, 10
1.248, 76.31, 13
1.217, 78.63, 25
1.175, 82.04, 11

Structure:
a b c (Å): 5.688 8.331 5.692
angles (deg): 90.00 90.00 90.00
Atoms (fractional coordinates):
Pa: 0.000 0.000 0.000
Pa: 0.000 0.500 0.000
Pa: 0.500 0.000 0.500
Pa: 0.500 0.500 0.500
Pd: 0.250 0.250 0.250
Pd: 0.250 0.750 0.750
Pd: 0.750 0.250 0.250
Pd: 0.750 0.750 0.750
Ru: 0.000 0.000 0.500
Ru: 0.000 0.500 0.500
Ru: 0.250 0.250 0.750
Ru: 0.250 0.750 0.250
Ru: 0.500 0.000 0.000
Ru: 0.500 0.500 0.000
Ru: 0.750 0.250 0.750
Ru: 0.750 0.750 0.250

---

Starting from a structure optimized by DFT (GGA-PBE), the X-ray powder pattern of TcTeSe2 was computed for copper Kα.
No peak broadening, texture or thermal motion is included.

Principal peaks in the range 2θ from 10° to 90°, low angle first:
d_spacing, 2θ/deg, I (rel.)
6.795, 13.03, 100
3.397, 26.23, 33
2.763, 32.41, 70
2.735, 32.74, 72
2.474, 36.31, 29
2.123, 42.58, 29
1.885, 48.29, 24
1.861, 48.93, 24
1.836, 49.65, 23
1.660, 55.33, 23

Structure:
a b c (Å): 5.203 6.222 7.420
angles (deg): 68.33 72.68 65.35
Atoms (fractional coordinates):
Tc: 0.191 0.117 0.499
Tc: 0.809 0.883 0.501
Te: 0.157 0.422 0.722
Te: 0.843 0.578 0.278
Se: 0.250 0.914 0.260
Se: 0.419 0.746 0.741
Se: 0.581 0.254 0.259
Se: 0.750 0.086 0.740

---

Starting from a structure optimized by DFT (GGA-PBE), the X-ray powder pattern of Ag3Sn was computed for copper Kα.
No peak broadening, texture or thermal motion is included.

Principal peaks in the range 2θ from 10° to 90°, low angle first:
d_spacing, 2θ/deg, I (rel.)
2.402, 37.44, 100
1.699, 53.98, 17
1.387, 67.54, 34
1.201, 79.86, 11

Structure:
a b c (Å): 6.794 6.794 6.794
angles (deg): 90.00 90.00 90.00
Atoms (fractional coordinates):
Ag: 0.000 0.000 0.000
Ag: 0.000 0.500 0.500
Ag: 0.250 0.250 0.250
Ag: 0.250 0.250 0.750
Ag: 0.250 0.750 0.250
Ag: 0.250 0.750 0.750
Ag: 0.500 0.000 0.500
Ag: 0.500 0.500 0.000
Ag: 0.750 0.250 0.250
Ag: 0.750 0.250 0.750
Ag: 0.750 0.750 0.250
Ag: 0.750 0.750 0.750
Sn: 0.000 0.000 0.500
Sn: 0.000 0.500 0.000
Sn: 0.500 0.000 0.000
Sn: 0.500 0.500 0.500

---

Starting from a structure optimized by DFT (GGA-PBE), the X-ray powder pattern of Ag2Hg4SbCl5 was computed for copper Kα.
No peak broadening, texture or thermal motion is included.

Principal peaks in the range 2θ from 10° to 90°, low angle first:
d_spacing, 2θ/deg, I (rel.)
4.728, 18.77, 32
3.690, 24.12, 100
3.380, 26.37, 26
3.225, 27.66, 51
3.032, 29.46, 16
2.364, 38.07, 31
2.257, 39.94, 29
2.096, 43.16, 20
2.008, 45.16, 26
1.769, 51.67, 28

Structure:
a b c (Å): 7.639 7.421 7.421
angles (deg): 125.81 90.00 90.00
Atoms (fractional coordinates):
Ag: 0.000 0.196 0.804
Ag: 0.000 0.804 0.196
Hg: 0.174 0.452 0.452
Hg: 0.500 0.130 0.840
Hg: 0.500 0.840 0.130
Hg: 0.826 0.452 0.452
Sb: 0.500 0.267 0.267
Cl: 0.000 0.009 0.009
Cl: 0.257 0.510 0.915
Cl: 0.257 0.915 0.510
Cl: 0.743 0.510 0.915
Cl: 0.743 0.915 0.510

---

Starting from a structure optimized by DFT (GGA-PBE), the X-ray powder pattern of K2LaPb2 was computed for copper Kα.
No peak broadening, texture or thermal motion is included.

Principal peaks in the range 2θ from 10° to 90°, low angle first:
d_spacing, 2θ/deg, I (rel.)
5.889, 15.04, 88
3.762, 23.65, 31
3.170, 28.15, 100
2.945, 30.35, 32
2.660, 33.70, 41
2.424, 37.08, 36
2.319, 38.84, 19
2.169, 41.64, 20
1.974, 45.98, 32
1.740, 52.59, 18

Structure:
a b c (Å): 8.412 8.412 5.889
angles (deg): 90.00 90.00 90.00
Atoms (fractional coordinates):
K: 0.165 0.335 0.000
K: 0.335 0.835 0.000
K: 0.665 0.165 0.000
K: 0.835 0.665 0.000
La: 0.000 0.000 0.500
La: 0.500 0.500 0.500
Pb: 0.129 0.629 0.500
Pb: 0.371 0.129 0.500
Pb: 0.629 0.871 0.500
Pb: 0.871 0.371 0.500

---

Starting from a structure optimized by DFT (GGA-PBE), the X-ray powder pattern of PmNdBeRh was computed for copper Kα.
No peak broadening, texture or thermal motion is included.

Principal peaks in the range 2θ from 10° to 90°, low angle first:
d_spacing, 2θ/deg, I (rel.)
4.086, 21.75, 15
3.539, 25.17, 24
2.502, 35.89, 100
2.134, 42.36, 8
2.043, 44.34, 7
1.769, 51.66, 18
1.583, 58.31, 10
1.445, 64.50, 36
1.251, 76.08, 11
1.119, 87.09, 16

Structure:
a b c (Å): 7.077 7.077 7.077
angles (deg): 90.00 90.00 90.00
Atoms (fractional coordinates):
Pm: 0.000 0.000 0.000
Pm: 0.000 0.500 0.500
Pm: 0.500 0.000 0.500
Pm: 0.500 0.500 0.000
Nd: 0.000 0.000 0.500
Nd: 0.000 0.500 0.000
Nd: 0.500 0.000 0.000
Nd: 0.500 0.500 0.500
Be: 0.250 0.250 0.750
Be: 0.250 0.750 0.250
Be: 0.750 0.250 0.250
Be: 0.750 0.750 0.750
Rh: 0.250 0.250 0.250
Rh: 0.250 0.750 0.750
Rh: 0.750 0.250 0.750
Rh: 0.750 0.750 0.250